Record 1
Computed powder diffraction line list
Compound: Pm3Pr5Er
Radiation: Cu Kα
Structure: a cell relaxed with GGA-PBE
Kinematic intensities with the Lorentz-polarization factor, no thermal factor.

Atomic structure:
a = 9.9211 Å, b = 12.0272 Å, c = 12.1223 Å
α = 90.00°, β = 105.64°, γ = 90.00°
Space group C2/m (No. 12)
One atom of each set of equivalent atoms:
Pm 0.0000 0.0000 0.0000 [2 per cell]
Pm 0.0000 0.5000 0.5000 [2 per cell]
Pm 0.0801 0.0000 0.7470 [4 per cell]
Pm 0.2409 0.5000 0.7339 [4 per cell]
Pr 0.0000 0.2489 0.5000 [4 per cell]
Pr 0.0760 0.5000 0.2576 [4 per cell]
Pr 0.1569 0.2485 0.1548 [8 per cell]
Pr 0.1665 0.5000 0.9951 [4 per cell]
Er 0.1703 0.0000 0.5052 [4 per cell]

Largest 8 diffraction maxima, low angle first, 5° ≤ 2θ ≤ 70°:
| hkl | 2theta | I_rel |
| --- | --- | --- |
| 0 2 0 | 14.7 | 44.7 |
| 2 2 -2 | 25.4 | 24.1 |
| 2 2 1 | 26.5 | 24.2 |
| 0 4 0 | 29.7 | 67.5 |
| 3 1 -3 | 32.0 | 100.0 |
| 0 2 4 | 34.2 | 47.5 |
| 3 3 1 | 38.5 | 62.0 |
| 3 5 -3 | 49.4 | 30.7 |

Record 2
Computed powder diffraction line list
Compound: Pm4PrEr10
Radiation: Cu Kα
Structure: a cell relaxed with GGA-PBE
Kinematic intensities with the Lorentz-polarization factor, no thermal factor.

Atomic structure:
a = 9.8183 Å, b = 9.8183 Å, c = 10.7372 Å
α = 90.00°, β = 90.00°, γ = 90.00°
Space group I4/m (No. 87)
One atom of each set of equivalent atoms:
Pm 0.0508 0.7153 0.0000 [8 per cell]
Pr 0.0000 0.0000 0.5000 [2 per cell]
Er 0.0000 0.5000 0.2500 [4 per cell]
Er 0.1229 0.7832 0.3304 [16 per cell]

Largest 8 diffraction maxima, low angle first, 5° ≤ 2θ ≤ 70°:
| hkl | 2theta | I_rel |
| --- | --- | --- |
| 1 0 3 | 26.5 | 31.9 |
| 3 0 1 | 28.5 | 21.2 |
| 1 3 0 | 28.8 | 84.4 |
| 1 2 3 | 32.3 | 100.0 |
| 1 3 2 | 33.3 | 52.5 |
| 4 2 0 | 41.1 | 30.2 |
| 3 2 3 | 41.7 | 26.8 |
| 3 1 6 | 59.6 | 27.1 |

Record 3
Computed powder diffraction line list
Compound: Pm7Pr2Er
Radiation: Cu Kα
Structure: a cell relaxed with GGA-PBE
Kinematic intensities with the Lorentz-polarization factor, no thermal factor.

Atomic structure:
a = 6.7354 Å, b = 29.4366 Å, c = 3.4981 Å
α = 90.00°, β = 90.00°, γ = 90.00°
Space group Cmmm (No. 65)
One atom of each set of equivalent atoms:
Pm 0.0000 0.0000 0.0000 [2 per cell]
Pm 0.0000 0.3123 0.5000 [4 per cell]
Pm 0.2435 0.4023 0.0000 [8 per cell]
Pr 0.0000 0.2044 0.0000 [4 per cell]
Er 0.0000 0.5000 0.5000 [2 per cell]

Largest 8 diffraction maxima, low angle first, 5° ≤ 2θ ≤ 70°:
| hkl | 2theta | I_rel |
| --- | --- | --- |
| 1 1 1 | 28.9 | 40.7 |
| 2 4 0 | 29.2 | 66.1 |
| 0 10 0 | 30.4 | 76.2 |
| 0 6 1 | 31.4 | 33.0 |
| 2 6 0 | 32.2 | 73.6 |
| 1 5 1 | 32.6 | 100.0 |
| 2 4 1 | 39.1 | 23.4 |
| 3 5 1 | 50.7 | 23.0 |

Record 4
Computed powder diffraction line list
Compound: Pm6PrEr5
Radiation: Cu Kα
Structure: a cell relaxed with GGA-PBE
Kinematic intensities with the Lorentz-polarization factor, no thermal factor.

Atomic structure:
a = 5.0919 Å, b = 15.2870 Å, c = 10.1273 Å
α = 90.00°, β = 90.00°, γ = 90.00°
Space group Cmmm (No. 65)
One atom of each set of equivalent atoms:
Pm 0.0000 0.0000 0.2472 [4 per cell]
Pm 0.0000 0.3330 0.2480 [8 per cell]
Pr 0.0000 0.5000 0.5000 [2 per cell]
Er 0.0000 0.1665 0.0000 [4 per cell]
Er 0.0000 0.1683 0.5000 [4 per cell]
Er 0.0000 0.5000 0.0000 [2 per cell]

Largest 8 diffraction maxima, low angle first, 5° ≤ 2θ ≤ 70°:
| hkl | 2theta | I_rel |
| --- | --- | --- |
| 1 3 2 | 30.5 | 100.0 |
| 2 0 0 | 35.2 | 34.0 |
| 0 0 4 | 35.5 | 16.7 |
| 2 6 0 | 50.7 | 12.1 |
| 2 0 4 | 50.9 | 24.0 |
| 3 3 2 | 60.3 | 28.8 |
| 1 3 6 | 60.6 | 14.2 |
| 2 6 4 | 63.4 | 12.4 |

Record 5
Computed powder diffraction line list
Compound: Pm2Pr4Er3
Radiation: Cu Kα
Structure: a cell relaxed with GGA-PBE
Kinematic intensities with the Lorentz-polarization factor, no thermal factor.

Atomic structure:
a = 3.6325 Å, b = 8.1377 Å, c = 10.8554 Å
α = 77.09°, β = 89.98°, γ = 77.13°
Space group P-1 (No. 2)
One atom of each set of equivalent atoms:
Pm 0.1670 0.1670 0.2239 [2 per cell]
Pr 0.1655 0.1683 0.8888 [2 per cell]
Pr 0.4995 0.5015 0.6651 [2 per cell]
Er 0.1682 0.1630 0.5540 [2 per cell]
Er 0.5000 0.5000 0.0000 [1 per cell]

Largest 8 diffraction maxima, low angle first, 5° ≤ 2θ ≤ 70°:
| hkl | 2theta | I_rel |
| --- | --- | --- |
| 1 2 0 | 30.1 | 100.0 |
| 0 1 -3 | 30.2 | 33.1 |
| 0 3 0 | 34.9 | 22.6 |
| 1 1 3 | 35.0 | 44.8 |
| 2 1 0 | 50.2 | 40.3 |
| 1 5 0 | 59.6 | 19.3 |
| 2 3 3 | 59.7 | 19.2 |
| 1 0 6 | 59.9 | 19.0 |

Record 6
Computed powder diffraction line list
Compound: PmPr4Er8
Radiation: Cu Kα
Structure: a cell relaxed with GGA-PBE
Kinematic intensities with the Lorentz-polarization factor, no thermal factor.

Atomic structure:
a = 11.0776 Å, b = 11.0776 Å, c = 13.5146 Å
α = 90.00°, β = 90.00°, γ = 120.00°
Space group R-3m (No. 166, hexagonal axes)
One atom of each set of equivalent atoms:
Pm 0.0000 0.0000 0.0000 [3 per cell]
Pr 0.0000 0.0000 0.5000 [3 per cell]
Pr 0.0000 0.5000 0.5000 [9 per cell]
Er 0.0000 0.0000 0.2605 [6 per cell]
Er 0.0136 0.5068 0.2457 [18 per cell]

Largest 8 diffraction maxima, low angle first, 5° ≤ 2θ ≤ 70°:
| hkl | 2theta | I_rel |
| --- | --- | --- |
| 0 0 3 | 19.7 | 10.1 |
| 2 0 2 | 22.7 | 10.5 |
| 2 2 0 | 32.4 | 100.0 |
| 4 0 4 | 46.4 | 18.0 |
| 6 0 0 | 57.7 | 27.8 |
| 2 0 8 | 57.9 | 9.1 |
| 4 4 0 | 67.7 | 5.6 |
| 0 4 8 | 67.9 | 5.5 |

Record 7
Computed powder diffraction line list
Compound: PmPr12Er7
Radiation: Cu Kα
Structure: a cell relaxed with GGA-PBE
Kinematic intensities with the Lorentz-polarization factor, no thermal factor.

Atomic structure:
a = 15.3303 Å, b = 15.3303 Å, c = 10.1917 Å
α = 90.00°, β = 90.00°, γ = 120.00°
Space group R-3 (No. 148, hexagonal axes)
One atom of each set of equivalent atoms:
Pm 0.0000 0.0000 0.0000 [3 per cell]
Pr 0.0430 0.8440 0.2524 [18 per cell]
Pr 0.0462 0.7971 0.5769 [18 per cell]
Er 0.0000 0.0000 0.5000 [3 per cell]
Er 0.0666 0.8216 0.9259 [18 per cell]

Largest 8 diffraction maxima, low angle first, 5° ≤ 2θ ≤ 70°:
| hkl | 2theta | I_rel |
| --- | --- | --- |
| 1 1 3 | 28.7 | 36.6 |
| 3 1 2 | 29.9 | 20.6 |
| 4 1 0 | 30.9 | 100.0 |
| 0 3 3 | 33.2 | 40.7 |
| 2 2 3 | 35.3 | 29.7 |
| 7 -2 3 | 50.7 | 16.3 |
| 3 6 0 | 54.9 | 11.1 |
| 4 1 6 | 63.5 | 16.7 |

Record 8
Computed powder diffraction line list
Compound: Pm9Pr2Er
Radiation: Cu Kα
Structure: a cell relaxed with GGA-PBE
Kinematic intensities with the Lorentz-polarization factor, no thermal factor.

Atomic structure:
a = 11.5284 Å, b = 11.5284 Å, c = 3.5562 Å
α = 90.00°, β = 90.00°, γ = 120.00°
Space group P6/mmm (No. 191)
One atom of each set of equivalent atoms:
Pm 0.0000 0.5000 0.0000 [3 per cell]
Pm 0.1710 0.3420 0.5000 [6 per cell]
Pr 0.3333 0.6667 0.0000 [2 per cell]
Er 0.0000 0.0000 0.0000 [1 per cell]

Largest 8 diffraction maxima, low angle first, 5° ≤ 2θ ≤ 70°:
| hkl | 2theta | I_rel |
| --- | --- | --- |
| 1 1 1 | 29.5 | 25.8 |
| 2 0 1 | 30.9 | 53.2 |
| 2 2 0 | 31.0 | 100.0 |
| 3 0 1 | 37.0 | 14.3 |
| 4 0 1 | 44.3 | 19.5 |
| 4 1 1 | 49.0 | 12.5 |
| 6 0 0 | 55.1 | 39.8 |
| 2 2 2 | 61.3 | 28.7 |

Record 9
Computed powder diffraction line list
Compound: PmPr6Er6
Radiation: Cu Kα
Structure: a cell relaxed with GGA-PBE
Kinematic intensities with the Lorentz-polarization factor, no thermal factor.

Atomic structure:
a = 6.6386 Å, b = 11.2201 Å, c = 6.6944 Å
α = 90.00°, β = 115.43°, γ = 90.00°
Space group P2/m (No. 10)
One atom of each set of equivalent atoms:
Pm 0.0000 0.0000 0.0000 [1 per cell]
Pr 0.0000 0.3288 0.0000 [2 per cell]
Pr 0.2760 0.5000 0.7397 [2 per cell]
Pr 0.3338 0.0000 0.6146 [2 per cell]
Er 0.0000 0.2337 0.5000 [2 per cell]
Er 0.5000 0.2173 0.0000 [2 per cell]
Er 0.5000 0.2993 0.5000 [2 per cell]

Largest 8 diffraction maxima, low angle first, 5° ≤ 2θ ≤ 70°:
| hkl | 2theta | I_rel |
| --- | --- | --- |
| 1 3 -1 | 28.6 | 100.0 |
| 0 0 2 | 29.5 | 43.9 |
| 2 0 0 | 29.8 | 82.3 |
| 2 0 -2 | 31.8 | 52.5 |
| 0 4 0 | 31.9 | 39.7 |
| 0 2 2 | 33.7 | 59.2 |
| 2 2 0 | 33.9 | 76.1 |
| 1 3 1 | 34.8 | 38.9 |

Record 10
Computed powder diffraction line list
Compound: Pm5Pr3Er3
Radiation: Cu Kα
Structure: a cell relaxed with GGA-PBE
Kinematic intensities with the Lorentz-polarization factor, no thermal factor.

Atomic structure:
a = 14.2462 Å, b = 9.1358 Å, c = 6.5192 Å
α = 90.00°, β = 115.01°, γ = 90.00°
Space group C2 (No. 5)
One atom of each set of equivalent atoms:
Pm 0.0000 0.0000 0.0000 [2 per cell]
Pm 0.1275 0.6339 0.6212 [4 per cell]
Pm 0.2330 0.9941 0.5968 [4 per cell]
Pr 0.0000 0.9531 0.5000 [2 per cell]
Pr 0.2171 0.3024 0.9041 [4 per cell]
Er 0.0000 0.6224 0.0000 [2 per cell]
Er 0.0584 0.3043 0.3138 [4 per cell]

Largest 8 diffraction maxima, low angle first, 5° ≤ 2θ ≤ 70°:
| hkl | 2theta | I_rel |
| --- | --- | --- |
| 4 0 -1 | 25.2 | 40.9 |
| 1 1 -2 | 29.7 | 77.1 |
| 1 3 0 | 30.2 | 100.0 |
| 2 2 1 | 31.3 | 65.0 |
| 3 1 1 | 32.0 | 75.8 |
| 5 1 -1 | 32.9 | 33.6 |
| 2 2 -2 | 33.8 | 51.4 |
| 5 1 -2 | 36.6 | 23.8 |

Record 11
Computed powder diffraction line list
Compound: Pm6Pr5Er2
Radiation: Cu Kα
Structure: a cell relaxed with GGA-PBE
Kinematic intensities with the Lorentz-polarization factor, no thermal factor.

Atomic structure:
a = 11.8172 Å, b = 21.0121 Å, c = 3.6595 Å
α = 90.00°, β = 90.00°, γ = 90.00°
Space group Pbam (No. 55)
One atom of each set of equivalent atoms:
Pm 0.0639 0.0809 0.0000 [4 per cell]
Pm 0.0825 0.3681 0.0000 [4 per cell]
Pm 0.1737 0.6396 0.5000 [4 per cell]
Pr 0.0000 0.5000 0.5000 [2 per cell]
Pr 0.0859 0.2271 0.5000 [4 per cell]
Pr 0.1969 0.9459 0.5000 [4 per cell]
Er 0.1700 0.7895 0.0000 [4 per cell]

Largest 8 diffraction maxima, low angle first, 5° ≤ 2θ ≤ 70°:
| hkl | 2theta | I_rel |
| --- | --- | --- |
| 4 1 0 | 30.6 | 50.8 |
| 1 7 0 | 30.7 | 100.0 |
| 2 3 1 | 31.5 | 87.8 |
| 2 4 1 | 33.5 | 35.6 |
| 3 3 1 | 35.9 | 36.4 |
| 0 0 2 | 49.8 | 18.0 |
| 4 1 2 | 59.6 | 15.9 |
| 1 7 2 | 59.7 | 15.7 |

Record 12
Computed powder diffraction line list
Compound: PmPr12Er5
Radiation: Cu Kα
Structure: a cell relaxed with GGA-PBE
Kinematic intensities with the Lorentz-polarization factor, no thermal factor.

Atomic structure:
a = 10.9511 Å, b = 5.1820 Å, c = 10.9624 Å
α = 90.00°, β = 90.33°, γ = 90.00°
Space group P2/m (No. 10)
One atom of each set of equivalent atoms:
Pm 0.0000 0.0000 0.0000 [1 per cell]
Pr 0.0023 0.0000 0.6677 [2 per cell]
Pr 0.1660 0.5000 0.1662 [2 per cell]
Pr 0.1698 0.5000 0.5025 [2 per cell]
Pr 0.3322 0.0000 0.9978 [2 per cell]
Pr 0.3369 0.0000 0.3368 [2 per cell]
Pr 0.4973 0.5000 0.8303 [2 per cell]
Er 0.1676 0.5000 0.8324 [2 per cell]
Er 0.3332 0.0000 0.6669 [2 per cell]
Er 0.5000 0.5000 0.5000 [1 per cell]

Largest 8 diffraction maxima, low angle first, 5° ≤ 2θ ≤ 70°:
| hkl | 2theta | I_rel |
| --- | --- | --- |
| 3 1 0 | 29.9 | 100.0 |
| 0 2 0 | 34.6 | 34.0 |
| 3 0 3 | 34.8 | 16.7 |
| 3 2 -3 | 49.8 | 12.2 |
| 6 0 0 | 49.9 | 24.1 |
| 3 3 0 | 59.2 | 29.0 |
| 6 1 3 | 59.5 | 14.2 |
| 6 2 0 | 62.2 | 12.4 |